Zr2Ga2Mo: calculated XRD peak list (a wavelength of 1.5418 Å), based on a DFT-relaxed cell (GGA-PBE, Alexandria).

Cell and atoms:
a = 7.007 Å, b = 7.007 Å, c = 3.733 Å
α = 90.00°, β = 90.00°, γ = 90.00°
Fractional positions:
Zr  0.178  0.322  0.000
Zr  0.322  0.822  0.000
Zr  0.678  0.178  0.000
Zr  0.822  0.678  0.000
Ga  0.127  0.627  0.500
Ga  0.373  0.127  0.500
Ga  0.627  0.873  0.500
Ga  0.873  0.373  0.500
Mo  0.000  0.000  0.500
Mo  0.500  0.500  0.500

Principal peaks in the range 15 to 90 degrees two-theta, low angle first:
2θ/deg, I/Imax, (hkl)
35.13, 47.2, 2 0 1
36.26, 14.0, 2 2 0
37.47, 100.0, 2 1 1
40.72, 44.8, 3 1 0
48.79, 19.1, 0 0 2
59.79, 12.2, 4 1 1
65.37, 21.1, 3 1 2
73.43, 12.4, 5 1 1